Diffraction record for Sb3Pb2Au4. The X-ray powder pattern is theoretical, not measured: it uses the GGA-PBE geometry in Alexandria and Cu Kα.
Intensities are scaled so that the largest is 100.

Structure:
```
Sb3Pb2Au4
1.0
3.9981 -7.7420 0.0000
3.9981 7.7420 0.0000
0.0000 0.0000 7.3425
Sb Pb Au
6 4 8
direct
0.0000 0.0000 0.0000 Sb
0.0183 0.4817 0.2500 Sb
0.4817 0.0183 0.7500 Sb
0.5000 0.5000 0.5000 Sb
0.5183 0.9817 0.2500 Sb
0.9817 0.5183 0.7500 Sb
0.1013 0.8987 0.4127 Pb
0.3987 0.6013 0.9127 Pb
0.6013 0.3987 0.0873 Pb
0.8987 0.1013 0.5873 Pb
0.1899 0.8101 0.0257 Au
0.2013 0.2987 0.2500 Au
0.2987 0.2013 0.7500 Au
0.3101 0.6899 0.5257 Au
0.6899 0.3101 0.4743 Au
0.7013 0.7987 0.2500 Au
0.7987 0.7013 0.7500 Au
0.8101 0.1899 0.9743 Au
```

Principal peaks in the range 2θ from 10° to 90°, by intensity:
Position (°2θ), intensity
33.1, 100
33.3, 80
27.9, 50
46.6, 32
45.4, 30
38.6, 24

=====

Diffraction record for SrRh3Pb5. The X-ray powder pattern is theoretical, not measured: it uses the GGA-PBE geometry in Alexandria and Cu Kα.
Intensities are scaled so that the largest is 100.

Structure:
```
SrRh3Pb5
1.0
6.1911 -4.6593 0.0000
6.1911 4.6593 0.0000
-5.1756 0.0000 8.7765
Sr Rh Pb
2 6 10
direct
0.1111 0.1111 0.3154 Sr
0.8889 0.8889 0.6846 Sr
0.0000 0.0000 0.0000 Rh
0.0000 0.0000 0.5000 Rh
0.3153 0.3153 0.8300 Rh
0.3685 0.3685 0.3474 Rh
0.6315 0.6315 0.6526 Rh
0.6847 0.6847 0.1700 Rh
0.0630 0.6292 0.3336 Pb
0.2353 0.2353 0.0356 Pb
0.2971 0.7029 0.0000 Pb
0.3708 0.9370 0.6664 Pb
0.4146 0.4146 0.6457 Pb
0.5854 0.5854 0.3543 Pb
0.6292 0.0630 0.3336 Pb
0.7029 0.2971 0.0000 Pb
0.7647 0.7647 0.9644 Pb
0.9370 0.3708 0.6664 Pb
```

Principal peaks in the range 2θ from 10° to 90°, by intensity:
Position (°2θ), intensity
30.4, 100
29.6, 70
26.7, 56
30.6, 49
38.7, 45
37.6, 45

=====

Diffraction record for In12Ga7Hg. The X-ray powder pattern is theoretical, not measured: it uses the GGA-PBE geometry in Alexandria and Cu Kα.
Intensities are scaled so that the largest is 100.

Structure:
```
In12Ga7Hg
1.0
7.2069 4.1609 2.7253
-7.2069 4.1609 2.7253
0.0000 -8.3218 2.7253
In Ga Hg
12 7 1
direct
0.0895 0.3781 0.5814 In
0.0962 0.7398 0.1649 In
0.1649 0.0962 0.7398 In
0.2602 0.8351 0.9038 In
0.3781 0.5814 0.0895 In
0.4186 0.9105 0.6219 In
0.5814 0.0895 0.3781 In
0.6219 0.4186 0.9105 In
0.7398 0.1649 0.0962 In
0.8351 0.9038 0.2602 In
0.9038 0.2602 0.8351 In
0.9105 0.6219 0.4186 In
0.1657 0.4712 0.2932 Ga
0.2932 0.1657 0.4712 Ga
0.4712 0.2932 0.1657 Ga
0.5000 0.5000 0.5000 Ga
0.5288 0.7068 0.8343 Ga
0.7068 0.8343 0.5288 Ga
0.8343 0.5288 0.7068 Ga
0.0000 0.0000 0.0000 Hg
```

Principal peaks in the range 2θ from 10° to 90°, by intensity:
Position (°2θ), intensity
33.1, 100
38.4, 76
32.9, 53
55.2, 23
55.6, 21
66.1, 19

=====

Diffraction record for Ba7Cd2In2. The X-ray powder pattern is theoretical, not measured: it uses the GGA-PBE geometry in Alexandria and Cu Kα.
Intensities are scaled so that the largest is 100.

Structure:
```
Ba7Cd2In2
1.0
4.5158 -6.4975 0.0000
4.5158 6.4975 0.0000
0.0000 0.0000 8.9315
Ba Cd In
7 2 2
direct
0.0000 0.0000 0.0000 Ba
0.0000 0.5000 0.2866 Ba
0.0000 0.5000 0.7134 Ba
0.5000 0.0000 0.2866 Ba
0.5000 0.0000 0.7134 Ba
0.5000 0.5000 0.2740 Ba
0.5000 0.5000 0.7260 Ba
0.2975 0.7025 0.0000 Cd
0.7025 0.2975 0.0000 Cd
0.1604 0.1604 0.5000 In
0.8396 0.8396 0.5000 In
```

Principal peaks in the range 2θ from 10° to 90°, by intensity:
Position (°2θ), intensity
31.4, 100
30.4, 79
27.5, 70
23.3, 53
24.0, 50
22.1, 46

=====

Diffraction record for Ir7Os5. The X-ray powder pattern is theoretical, not measured: it uses the GGA-PBE geometry in Alexandria and Cu Kα.
Intensities are scaled so that the largest is 100.

Structure:
```
Ir7Os5
1.0
2.7313 -8.2062 0.0000
2.7313 8.2062 0.0000
0.0000 0.0000 3.8611
Ir Os
7 5
direct
0.0000 0.0000 0.0000 Ir
0.1703 0.8297 0.0000 Ir
0.1710 0.3379 0.5000 Ir
0.3379 0.1710 0.5000 Ir
0.6621 0.8290 0.5000 Ir
0.8290 0.6621 0.5000 Ir
0.8297 0.1703 0.0000 Ir
0.0000 0.5000 0.5000 Os
0.3332 0.6668 0.0000 Os
0.5000 0.0000 0.5000 Os
0.5000 0.5000 0.0000 Os
0.6668 0.3332 0.0000 Os
```

Principal peaks in the range 2θ from 10° to 90°, by intensity:
Position (°2θ), intensity
40.4, 100
47.0, 49
68.7, 27
82.8, 26
82.9, 13
87.5, 6

=====

Diffraction record for AcTb2PrHo4. The X-ray powder pattern is theoretical, not measured: it uses the GGA-PBE geometry in Alexandria and Cu Kα.
Intensities are scaled so that the largest is 100.

Structure:
```
AcTb2PrHo4
1.0
6.9001 -6.7216 0.0000
6.9001 6.7216 0.0000
-3.4654 0.0000 5.9856
Ac Tb Pr Ho
2 4 2 8
direct
0.0000 0.5000 0.0000 Ac
0.5000 0.0000 0.5000 Ac
0.0000 0.0000 0.0000 Tb
0.0000 0.0000 0.5000 Tb
0.0000 0.5000 0.5000 Tb
0.5000 0.0000 0.0000 Tb
0.5000 0.5000 0.0000 Pr
0.5000 0.5000 0.5000 Pr
0.2360 0.2542 0.4943 Ho
0.2455 0.7544 0.5128 Ho
0.2456 0.7545 0.9872 Ho
0.2542 0.2360 0.9943 Ho
0.7458 0.7640 0.0057 Ho
0.7544 0.2455 0.0128 Ho
0.7545 0.2456 0.4872 Ho
0.7640 0.7458 0.5057 Ho
```

Principal peaks in the range 2θ from 10° to 90°, by intensity:
Position (°2θ), intensity
29.9, 100
40.4, 88
26.5, 45
63.5, 22
60.3, 18
53.1, 13

=====

Diffraction record for K3ZrTi2Se6. The X-ray powder pattern is theoretical, not measured: it uses the GGA-PBE geometry in Alexandria and Cu Kα.
Intensities are scaled so that the largest is 100.

Structure:
```
K3ZrTi2Se6
1.0
3.3716 -5.8309 0.0000
3.3716 5.8309 0.0000
-2.2352 0.0000 7.6706
K Zr Ti Se
3 1 2 6
direct
0.0000 0.0000 0.0000 K
0.3328 0.6672 0.0000 K
0.6672 0.3328 0.0000 K
0.5000 0.5000 0.5000 Zr
0.1572 0.8428 0.5000 Ti
0.8428 0.1572 0.5000 Ti
0.0950 0.4369 0.3078 Se
0.2278 0.2278 0.7002 Se
0.4369 0.0950 0.3078 Se
0.5631 0.9050 0.6922 Se
0.7722 0.7722 0.2998 Se
0.9050 0.5631 0.6922 Se
```

Principal peaks in the range 2θ from 10° to 90°, by intensity:
Position (°2θ), intensity
30.8, 100
46.7, 34
11.5, 32
41.3, 19
38.3, 17
76.6, 13

=====

Diffraction record for CuSi2P3. The X-ray powder pattern is theoretical, not measured: it uses the GGA-PBE geometry in Alexandria and Cu Kα.
Intensities are scaled so that the largest is 100.

Structure:
```
CuSi2P3
1.0
3.2117 -5.5886 0.0000
3.2117 5.5886 0.0000
-2.0983 0.0000 6.0784
Cu Si P
2 4 6
direct
0.0859 0.9141 0.5000 Cu
0.9141 0.0859 0.0000 Cu
0.2547 0.7558 0.9967 Si
0.4001 0.5648 0.4955 Si
0.5648 0.4001 0.9955 Si
0.7558 0.2547 0.4967 Si
0.0335 0.2005 0.3729 P
0.2005 0.0335 0.8729 P
0.3773 0.8713 0.3766 P
0.5445 0.7074 0.8734 P
0.7074 0.5445 0.3734 P
0.8713 0.3773 0.8766 P
```

Principal peaks in the range 2θ from 10° to 90°, by intensity:
Position (°2θ), intensity
29.4, 100
49.1, 41
58.1, 25
48.9, 21
58.4, 12
16.6, 8

=====

Diffraction record for MnV12Cr6. The X-ray powder pattern is theoretical, not measured: it uses the GGA-PBE geometry in Alexandria and Cu Kα.
Intensities are scaled so that the largest is 100.

Structure:
```
MnV12Cr6
1.0
4.3784 2.5279 3.7688
-4.3784 2.5279 3.7688
0.0000 -5.0558 3.7688
Mn V Cr
1 12 6
direct
0.0000 0.0000 0.0000 Mn
0.0603 0.1404 0.3818 V
0.1404 0.3818 0.0603 V
0.1868 0.4804 0.5811 V
0.3818 0.0603 0.1404 V
0.4189 0.8132 0.5196 V
0.4804 0.5811 0.1868 V
0.5196 0.4189 0.8132 V
0.5811 0.1868 0.4804 V
0.6182 0.9397 0.8596 V
0.8132 0.5196 0.4189 V
0.8596 0.6182 0.9397 V
0.9397 0.8596 0.6182 V
0.1175 0.7397 0.2583 Cr
0.2583 0.1175 0.7397 Cr
0.2603 0.7417 0.8825 Cr
0.7397 0.2583 0.1175 Cr
0.7417 0.8825 0.2603 Cr
0.8825 0.2603 0.7417 Cr
```

Principal peaks in the range 2θ from 10° to 90°, by intensity:
Position (°2θ), intensity
43.8, 100
46.0, 69
43.1, 68
45.0, 68
41.7, 60
46.8, 18

=====

Diffraction record for KGeAuS3. The X-ray powder pattern is theoretical, not measured: it uses the GGA-PBE geometry in Alexandria and Cu Kα.
Intensities are scaled so that the largest is 100.

Structure:
```
KGeAuS3
1.0
10.8209 0.0000 0.0000
0.0000 11.4994 0.0000
-6.0069 0.0000 10.5435
K Ge Au S
8 8 8 24
direct
0.0879 0.2389 0.1210 K
0.0879 0.2611 0.6210 K
0.3882 0.7344 0.7155 K
0.3882 0.7656 0.2155 K
0.6118 0.2344 0.7845 K
0.6118 0.2656 0.2845 K
0.9121 0.7389 0.3790 K
0.9121 0.7611 0.8790 K
0.3351 0.0041 0.4397 Ge
0.3351 0.4959 0.9397 Ge
0.3346 0.5008 0.4184 Ge
0.3346 0.9992 0.9184 Ge
0.6654 0.0008 0.0816 Ge
0.6654 0.4992 0.5816 Ge
0.6649 0.5041 0.0603 Ge
0.6649 0.9959 0.5603 Ge
0.0122 0.5898 0.1475 Au
0.0122 0.9102 0.6475 Au
0.0140 0.5813 0.6782 Au
0.0140 0.9187 0.1782 Au
0.9860 0.0813 0.8218 Au
0.9860 0.4187 0.3218 Au
0.9878 0.0898 0.3525 Au
0.9878 0.4102 0.8525 Au
0.1864 0.0038 0.9975 S
0.1864 0.4962 0.4975 S
0.2088 0.6585 0.8587 S
0.2088 0.8415 0.3587 S
0.2135 0.1665 0.4206 S
0.2135 0.3335 0.9206 S
0.2336 0.5093 0.2077 S
0.2336 0.9907 0.7077 S
0.4847 0.0276 0.3576 S
0.4847 0.4724 0.8576 S
0.5003 0.1453 0.9865 S
0.5003 0.3547 0.4865 S
0.4997 0.6453 0.5135 S
0.4997 0.8547 0.0135 S
0.5153 0.5276 0.1424 S
0.5153 0.9724 0.6424 S
0.7664 0.0093 0.2923 S
0.7664 0.4907 0.7923 S
0.7865 0.6665 0.0794 S
0.7865 0.8335 0.5794 S
0.7912 0.1585 0.6413 S
0.7912 0.3415 0.1413 S
0.8136 0.5038 0.5025 S
0.8136 0.9962 0.0025 S
```

Principal peaks in the range 2θ from 10° to 90°, by intensity:
Position (°2θ), intensity
15.4, 100
14.6, 97
29.5, 84
27.5, 69
28.8, 67
18.9, 50

=====

Diffraction record for Sc4ZnIr5. The X-ray powder pattern is theoretical, not measured: it uses the GGA-PBE geometry in Alexandria and Cu Kα.
Intensities are scaled so that the largest is 100.

Structure:
```
Sc4ZnIr5
1.0
3.2098 0.0000 0.0000
0.0000 3.2098 0.0000
0.0000 0.0000 15.7583
Sc Zn Ir
4 1 5
direct
0.0000 0.0000 0.1037 Sc
0.0000 0.0000 0.3110 Sc
0.0000 0.0000 0.6890 Sc
0.0000 0.0000 0.8963 Sc
0.0000 0.0000 0.5000 Zn
0.5000 0.5000 0.0000 Ir
0.5000 0.5000 0.2051 Ir
0.5000 0.5000 0.4088 Ir
0.5000 0.5000 0.5912 Ir
0.5000 0.5000 0.7949 Ir
```

Principal peaks in the range 2θ from 10° to 90°, by intensity:
Position (°2θ), intensity
40.1, 100
39.7, 53
27.8, 46
72.3, 35
28.3, 21
49.5, 20

=====

- Number 5 is which compound?
  Ir7Os5

=====

Copy entry 5 word for word.
Diffraction record for Ir7Os5. The X-ray powder pattern is theoretical, not measured: it uses the GGA-PBE geometry in Alexandria and Cu Kα.
Intensities are scaled so that the largest is 100.

Structure:
```
Ir7Os5
1.0
2.7313 -8.2062 0.0000
2.7313 8.2062 0.0000
0.0000 0.0000 3.8611
Ir Os
7 5
direct
0.0000 0.0000 0.0000 Ir
0.1703 0.8297 0.0000 Ir
0.1710 0.3379 0.5000 Ir
0.3379 0.1710 0.5000 Ir
0.6621 0.8290 0.5000 Ir
0.8290 0.6621 0.5000 Ir
0.8297 0.1703 0.0000 Ir
0.0000 0.5000 0.5000 Os
0.3332 0.6668 0.0000 Os
0.5000 0.0000 0.5000 Os
0.5000 0.5000 0.0000 Os
0.6668 0.3332 0.0000 Os
```

Principal peaks in the range 2θ from 10° to 90°, by intensity:
Position (°2θ), intensity
40.4, 100
47.0, 49
68.7, 27
82.8, 26
82.9, 13
87.5, 6

=====

What did the sixth record say?
Diffraction record for AcTb2PrHo4. The X-ray powder pattern is theoretical, not measured: it uses the GGA-PBE geometry in Alexandria and Cu Kα.
Intensities are scaled so that the largest is 100.

Structure:
```
AcTb2PrHo4
1.0
6.9001 -6.7216 0.0000
6.9001 6.7216 0.0000
-3.4654 0.0000 5.9856
Ac Tb Pr Ho
2 4 2 8
direct
0.0000 0.5000 0.0000 Ac
0.5000 0.0000 0.5000 Ac
0.0000 0.0000 0.0000 Tb
0.0000 0.0000 0.5000 Tb
0.0000 0.5000 0.5000 Tb
0.5000 0.0000 0.0000 Tb
0.5000 0.5000 0.0000 Pr
0.5000 0.5000 0.5000 Pr
0.2360 0.2542 0.4943 Ho
0.2455 0.7544 0.5128 Ho
0.2456 0.7545 0.9872 Ho
0.2542 0.2360 0.9943 Ho
0.7458 0.7640 0.0057 Ho
0.7544 0.2455 0.0128 Ho
0.7545 0.2456 0.4872 Ho
0.7640 0.7458 0.5057 Ho
```

Principal peaks in the range 2θ from 10° to 90°, by intensity:
Position (°2θ), intensity
29.9, 100
40.4, 88
26.5, 45
63.5, 22
60.3, 18
53.1, 13